1.
PaV2Bi: calculated XRD peak list (a wavelength of 1.5418 Å), based on DFT lattice parameters and positions (PBE).

Structural model:
Cell: 4.7476 4.7476 11.6509 Å, 90.00 90.00 120.00°
Space group R-3m (No. 166, hexagonal axes)
Symmetry-distinct sites (fractional):
Pa (0.0000, 0.0000, 0.0000) [3 per cell]
V (0.0000, 0.0000, 0.2505) [6 per cell]
Bi (0.0000, 0.0000, 0.5000) [3 per cell]

Peak list (7 most intense, 5° ≤ 2θ ≤ 70°, in order of rising 2θ)
| two_theta | intensity | (hkl) |
| --- | --- | --- |
| 26.5 | 48 | 0 1 2 |
| 37.9 | 100 | 1 1 0 |
| 46.8 | 15 | 2 0 2 |
| 54.6 | 17 | 0 2 4 |
| 61.8 | 21 | 1 2 2 |
| 68.4 | 27 | 2 1 4 |
| 68.5 | 9 | 3 0 0 |

=====

2.
Zr2PaBi3: calculated XRD peak list (a wavelength of 1.5418 Å), based on DFT lattice parameters and positions (PBE).

Structural model:
Cell: 4.188 11.261 7.214 Å, 90.00 90.00 90.00°
Space group Pmc2_1 (No. 26)
Symmetry-distinct sites (fractional):
Zr (0.000, 0.032, 0.000) [2 per cell]
Zr (0.500, 0.287, 0.977) [2 per cell]
Pa (0.500, 0.388, 0.509) [2 per cell]
Bi (0.000, 0.212, 0.697) [2 per cell]
Bi (0.000, 0.431, 0.185) [2 per cell]
Bi (0.500, 0.115, 0.289) [2 per cell]

Peak list (10 most intense, 5° ≤ 2θ ≤ 70°, in order of rising 2θ)
| two_theta | intensity | (hkl) |
| --- | --- | --- |
| 25.9 | 44 | 0 1 2 |
| 26.8 | 63 | 0 3 1 |
| 29.3 | 94 | 1 2 1 |
| 32.8 | 37 | 1 0 2 |
| 33.7 | 70 | 1 1 2 |
| 34.4 | 100 | 1 3 1 |
| 38.5 | 24 | 1 4 0 |
| 40.8 | 33 | 0 2 3 |
| 43.2 | 37 | 2 0 0 |
| 67.1 | 22 | 1 6 3 |

=====

3.
BiPb7: calculated XRD peak list (a wavelength of 1.5418 Å), based on DFT lattice parameters and positions (PBE).

Structural model:
Cell: 10.057 10.057 10.057 Å, 90.00 90.00 90.00°
Space group Fm-3m (No. 225)
Symmetry-distinct sites (fractional):
Bi (0.000, 0.000, 0.000) [4 per cell]
Pb (0.000, 0.000, 0.500) [4 per cell]
Pb (0.000, 0.250, 0.250) [24 per cell]

Peak list (5 most intense, 5° ≤ 2θ ≤ 70°, in order of rising 2θ)
| two_theta | intensity | (hkl) |
| --- | --- | --- |
| 30.8 | 100 | 2 2 2 |
| 35.7 | 51 | 4 0 0 |
| 51.4 | 37 | 4 4 0 |
| 61.1 | 45 | 6 2 2 |
| 64.2 | 13 | 4 4 4 |

=====

4.
BiPb: calculated XRD peak list (a wavelength of 1.5418 Å), based on DFT lattice parameters and positions (PBE).

Structural model:
Cell: 6.497 6.497 6.576 Å, 90.00 90.00 90.00°
Space group P4_2/mnm (No. 136)
Symmetry-distinct sites (fractional):
Bi (0.182, 0.182, 0.000) [4 per cell]
Pb (0.200, 0.200, 0.500) [4 per cell]

Peak list (10 most intense, 5° ≤ 2θ ≤ 70°, in order of rising 2θ)
| two_theta | intensity | (hkl) |
| --- | --- | --- |
| 27.1 | 88 | 0 0 2 |
| 27.5 | 92 | 2 0 0 |
| 30.8 | 100 | 2 1 0 |
| 39.0 | 75 | 2 0 2 |
| 39.2 | 20 | 2 2 0 |
| 41.5 | 91 | 2 1 2 |
| 48.3 | 23 | 2 2 2 |
| 58.6 | 35 | 4 1 0 |
| 65.2 | 25 | 2 1 4 |
| 65.7 | 51 | 4 1 2 |

=====

5.
Bi2Pb: calculated XRD peak list (a wavelength of 1.5418 Å), based on DFT lattice parameters and positions (PBE).

Structural model:
Cell: 3.996 3.996 11.979 Å, 90.00 90.00 90.00°
Space group I4/mmm (No. 139)
Symmetry-distinct sites (fractional):
Bi (0.000, 0.000, 0.174) [4 per cell]
Pb (0.000, 0.000, 0.500) [2 per cell]

Peak list (5 most intense, 5° ≤ 2θ ≤ 70°, in order of rising 2θ)
| two_theta | intensity | (hkl) |
| --- | --- | --- |
| 31.7 | 100 | 1 1 0 |
| 44.1 | 1 | 1 0 5 |
| 45.4 | 19 | 2 0 0 |
| 56.4 | 40 | 2 1 3 |
| 66.2 | 12 | 2 2 0 |

=====

6.
BiPb2: calculated XRD peak list (a wavelength of 1.5418 Å), based on DFT lattice parameters and positions (PBE).

Structural model:
Cell: 3.904 3.904 12.531 Å, 90.00 90.00 90.00°
Space group I4/mmm (No. 139)
Symmetry-distinct sites (fractional):
Bi (0.000, 0.000, 0.000) [2 per cell]
Pb (0.000, 0.000, 0.341) [4 per cell]

Peak list (10 most intense, 5° ≤ 2θ ≤ 70°, in order of rising 2θ)
| two_theta | intensity | (hkl) |
| --- | --- | --- |
| 31.4 | 100 | 1 0 3 |
| 32.4 | 47 | 1 1 0 |
| 42.9 | 1 | 1 0 5 |
| 43.3 | 10 | 0 0 6 |
| 46.5 | 18 | 2 0 0 |
| 55.1 | 20 | 1 1 6 |
| 57.2 | 38 | 2 1 3 |
| 65.4 | 12 | 2 0 6 |
| 67.9 | 6 | 2 2 0 |
| 68.9 | 1 | 1 1 8 |